[1]
La4YHo15: calculated X-ray powder pattern (Cu Kα (λ = 1.5418 Å)), based on the GGA-PBE geometry in Alexandria.

Structural model:
Lattice parameters (Å, degrees): 5.0662 5.0662 25.1635 90.00 90.00 90.00
Sites, in units of the cell vectors:
1 La 0.0000 0.0000 0.1006
2 La 0.0000 0.0000 0.3003
3 La 0.0000 0.0000 0.6997
4 La 0.0000 0.0000 0.8994
5 Y 0.0000 0.0000 0.5000
6 Ho 0.0000 0.5000 0.0000
7 Ho 0.0000 0.5000 0.2010
8 Ho 0.0000 0.5000 0.4020
9 Ho 0.0000 0.5000 0.5980
10 Ho 0.0000 0.5000 0.7990
11 Ho 0.5000 0.0000 0.0000
12 Ho 0.5000 0.0000 0.2010
13 Ho 0.5000 0.0000 0.4020
14 Ho 0.5000 0.0000 0.5980
15 Ho 0.5000 0.0000 0.7990
16 Ho 0.5000 0.5000 0.1003
17 Ho 0.5000 0.5000 0.3015
18 Ho 0.5000 0.5000 0.5000
19 Ho 0.5000 0.5000 0.6985
20 Ho 0.5000 0.5000 0.8997

Top 10 peaks for 2θ from 15° to 90°, in order of falling intensity:
Position (°2θ), I (rel.)
30.63, 100
35.44, 34
60.66, 29
51.17, 24
35.68, 17
60.99, 14
63.78, 12
50.99, 12
83.42, 12
83.14, 6

[2]
La3YHo3: calculated X-ray powder pattern (Cu Kα (λ = 1.5418 Å)), based on the GGA-PBE geometry in Alexandria.

Structural model:
Lattice parameters (Å, degrees): 9.7624 9.7624 5.8090 90.00 90.00 120.00
Sites, in units of the cell vectors:
1 La 0.0959 0.6238 0.2500
2 La 0.3762 0.4721 0.2500
3 La 0.4721 0.0959 0.7500
4 La 0.5279 0.9041 0.2500
5 La 0.6238 0.5279 0.7500
6 La 0.9041 0.3762 0.7500
7 Y 0.3333 0.6667 0.7500
8 Y 0.6667 0.3333 0.2500
9 Ho 0.0442 0.8128 0.7500
10 Ho 0.1872 0.2314 0.7500
11 Ho 0.2314 0.0442 0.2500
12 Ho 0.7686 0.9558 0.7500
13 Ho 0.8128 0.7686 0.2500
14 Ho 0.9558 0.1872 0.2500

Top 10 peaks for 2θ from 15° to 90°, in order of falling intensity:
Position (°2θ), I (rel.)
31.97, 100
30.78, 24
27.92, 23
59.34, 22
55.49, 21
49.40, 19
60.06, 16
42.04, 16
81.38, 13
85.00, 8

[3]
La12YHo7: calculated X-ray powder pattern (Cu Kα (λ = 1.5418 Å)), based on the GGA-PBE geometry in Alexandria.

Structural model:
Lattice parameters (Å, degrees): 8.8637 8.8637 8.8637 89.54 89.54 89.54
Sites, in units of the cell vectors:
1 La 0.0186 0.8916 0.3558
2 La 0.1084 0.6442 0.9814
3 La 0.2172 0.3539 0.7662
4 La 0.2338 0.7828 0.6461
5 La 0.3539 0.7662 0.2172
6 La 0.3558 0.0186 0.8916
7 La 0.6442 0.9814 0.1084
8 La 0.6461 0.2338 0.7828
9 La 0.7662 0.2172 0.3539
10 La 0.7828 0.6461 0.2338
11 La 0.8916 0.3558 0.0186
12 La 0.9814 0.1084 0.6442
13 Y 0.5000 0.5000 0.5000
14 Ho 0.0000 0.0000 0.0000
15 Ho 0.1239 0.4401 0.3588
16 Ho 0.3588 0.1239 0.4401
17 Ho 0.4401 0.3588 0.1239
18 Ho 0.5599 0.6412 0.8761
19 Ho 0.6412 0.8761 0.5599
20 Ho 0.8761 0.5599 0.6412

Top 10 peaks for 2θ from 15° to 90°, in order of falling intensity:
Position (°2θ), I (rel.)
30.36, 100
32.01, 59
31.85, 42
30.25, 25
52.87, 24
30.03, 23
33.36, 18
28.37, 17
22.36, 16
56.05, 14

[4]
LaY4Ho2: calculated X-ray powder pattern (Cu Kα (λ = 1.5418 Å)), based on the GGA-PBE geometry in Alexandria.

Structural model:
Lattice parameters (Å, degrees): 16.7455 3.5605 8.8002 90.00 119.20 90.00
Sites, in units of the cell vectors:
1 La 0.0000 0.0000 0.0000
2 La 0.5000 0.5000 0.0000
3 Y 0.1412 0.5000 0.8316
4 Y 0.2059 0.5000 0.2952
5 Y 0.2941 0.0000 0.7048
6 Y 0.3588 0.0000 0.1684
7 Y 0.6412 0.0000 0.8316
8 Y 0.7059 0.0000 0.2952
9 Y 0.7941 0.5000 0.7048
10 Y 0.8588 0.5000 0.1684
11 Ho 0.0705 0.0000 0.4318
12 Ho 0.4295 0.5000 0.5682
13 Ho 0.5705 0.5000 0.4318
14 Ho 0.9295 0.0000 0.5682

Top 10 peaks for 2θ from 15° to 90°, in order of falling intensity:
Position (°2θ), I (rel.)
31.13, 100
32.73, 92
31.39, 52
29.89, 35
25.75, 19
47.99, 17
62.19, 16
61.26, 16
61.41, 15
51.32, 14

[5]
La2YHo12: calculated X-ray powder pattern (Cu Kα (λ = 1.5418 Å)), based on the GGA-PBE geometry in Alexandria.

Structural model:
Lattice parameters (Å, degrees): 6.6374 6.6374 24.4631 92.23 92.23 115.20
Sites, in units of the cell vectors:
1 La 0.0649 0.0649 0.2726
2 La 0.4281 0.4281 0.7267
3 La 0.5719 0.5719 0.2733
4 La 0.9351 0.9351 0.7274
5 Y 0.2500 0.2500 0.0000
6 Y 0.7500 0.7500 0.0000
7 Ho 0.0503 0.5501 0.1999
8 Ho 0.0848 0.5804 0.3317
9 Ho 0.1405 0.1405 0.5731
10 Ho 0.1411 0.6355 0.5545
11 Ho 0.2160 0.2160 0.8653
12 Ho 0.2316 0.7316 0.9260
13 Ho 0.2684 0.7684 0.0740
14 Ho 0.2842 0.2842 0.1347
15 Ho 0.3550 0.3550 0.4310
16 Ho 0.3645 0.8589 0.4455
17 Ho 0.4196 0.9152 0.6683
18 Ho 0.4499 0.9497 0.8001
19 Ho 0.5501 0.0503 0.1999
20 Ho 0.5804 0.0848 0.3317
21 Ho 0.6355 0.1411 0.5545
22 Ho 0.6450 0.6450 0.5690
23 Ho 0.7158 0.7158 0.8653
24 Ho 0.7316 0.2316 0.9260
25 Ho 0.7684 0.2684 0.0740
26 Ho 0.7840 0.7840 0.1347
27 Ho 0.8589 0.3645 0.4455
28 Ho 0.8595 0.8595 0.4269
29 Ho 0.9152 0.4196 0.6683
30 Ho 0.9497 0.4499 0.8001

Top 10 peaks for 2θ from 15° to 90°, in order of falling intensity:
Position (°2θ), I (rel.)
30.22, 100
32.46, 77
31.94, 74
31.16, 45
33.45, 36
32.26, 34
36.12, 29
59.70, 27
46.03, 26
61.79, 22

[6]
La2Y12Ho: calculated X-ray powder pattern (Cu Kα (λ = 1.5418 Å)), based on the GGA-PBE geometry in Alexandria.

Structural model:
Lattice parameters (Å, degrees): 6.7437 6.7437 24.9794 90.00 90.00 116.21
Sites, in units of the cell vectors:
1 La 0.2500 0.7500 0.2327
2 La 0.2500 0.7500 0.7676
3 La 0.7500 0.2500 0.2324
4 La 0.7500 0.2500 0.7673
5 Y 0.0000 0.0000 0.4242
6 Y 0.0000 0.0000 0.5758
7 Y 0.0000 0.5000 0.3757
8 Y 0.0000 0.5000 0.6243
9 Y 0.0006 0.5006 0.0845
10 Y 0.0007 0.9993 0.9383
11 Y 0.2500 0.2500 0.1727
12 Y 0.2500 0.2500 0.3028
13 Y 0.2500 0.2500 0.6972
14 Y 0.2500 0.2500 0.8273
15 Y 0.4993 0.5007 0.9383
16 Y 0.4994 0.9994 0.0845
17 Y 0.5000 0.0000 0.3757
18 Y 0.5000 0.0000 0.6243
19 Y 0.5000 0.5000 0.4242
20 Y 0.5000 0.5000 0.5758
21 Y 0.5006 0.0006 0.9155
22 Y 0.5007 0.4993 0.0617
23 Y 0.7500 0.7500 0.1727
24 Y 0.7500 0.7500 0.3028
25 Y 0.7500 0.7500 0.6972
26 Y 0.7500 0.7500 0.8273
27 Y 0.9993 0.0007 0.0617
28 Y 0.9994 0.4994 0.9155
29 Ho 0.2500 0.7500 0.5000
30 Ho 0.7500 0.2500 0.5000

Top 10 peaks for 2θ from 15° to 90°, in order of falling intensity:
Position (°2θ), I (rel.)
31.24, 100
32.67, 85
30.40, 84
32.90, 77
29.50, 68
36.72, 51
28.85, 45
31.46, 34
43.04, 30
61.28, 30